# 1
This entry pairs a crystal structure of Cu2SiPb with its simulated PXRD pattern. Radiation: Cu Kα X-rays. Structure: a structure optimized by DFT (PBE).
No peak broadening, texture or thermal motion is included.

Principal peaks in the range 10° ≤ 2θ ≤ 90°, sorted by position:
d/Å, I_rel, (hkl)
6.522, 14, 1 0 0
3.765, 17, 1 1 1
3.261, 14, 2 0 0
2.917, 46, 2 1 0
2.306, 100, 2 2 0
2.174, 18, 3 0 0
1.630, 14, 4 0 0
1.582, 17, 3 2 2
1.458, 13, 4 2 0
1.331, 25, 4 2 2

Atomic structure:
Lattice parameters (Å, degrees): 6.5220 6.5220 6.5220 90.00 90.00 90.00
Space group Pm-3m (No. 221)
One atom of each set of equivalent atoms:
Cu 0.2097 0.2097 0.2097 [8 per cell]
Si 0.0000 0.0000 0.0000 [1 per cell]
Si 0.0000 0.0000 0.5000 [3 per cell]
Pb 0.0000 0.5000 0.5000 [3 per cell]
Pb 0.5000 0.5000 0.5000 [1 per cell]

***

# 2
This entry pairs a crystal structure of Gd with its simulated PXRD pattern. Radiation: Cu Kα X-rays. Structure: a structure optimized by DFT (PBE).
No peak broadening, texture or thermal motion is included.

Principal peaks in the range 10° ≤ 2θ ≤ 90°, sorted by position:
d/Å, I_rel, (hkl)
3.140, 24, 1 0 0
2.861, 25, 0 0 2
2.753, 100, 1 0 1
2.115, 16, 1 0 2
1.813, 20, 1 1 0
1.630, 21, 1 0 3
1.531, 23, 1 1 2
1.514, 16, 2 0 1
1.162, 14, 2 1 1
1.123, 8, 1 1 4

Atomic structure:
Lattice parameters (Å, degrees): 3.6259 3.6259 5.7222 90.00 90.00 120.00
Space group P6_3/mmc (No. 194)
One atom of each set of equivalent atoms:
Gd 0.3333 0.6667 0.2500 [2 per cell]

***

# 3
This entry pairs a crystal structure of Nb2In3Mo4N3 with its simulated PXRD pattern. Radiation: Cu Kα X-rays. Structure: a structure optimized by DFT (PBE).
No peak broadening, texture or thermal motion is included.

Principal peaks in the range 10° ≤ 2θ ≤ 90°, sorted by position:
d/Å, I_rel, (hkl)
2.758, 22, 3 1 -1
2.366, 100, 3 1 2
2.300, 19, 0 0 6
1.766, 15, 3 1 5
1.592, 20, 6 0 -2
1.379, 3, 0 4 0
1.340, 15, 3 1 8
1.321, 14, 6 2 1
1.310, 12, 6 0 4
1.309, 6, 3 3 -7

Atomic structure:
Lattice parameters (Å, degrees): 9.5617 5.5126 14.1584 90.00 102.96 90.00
Space group C2/c (No. 15)
One atom of each set of equivalent atoms:
Nb 0.0617 0.0884 0.4164 [8 per cell]
In 0.0000 0.4309 0.2500 [4 per cell]
In 0.1738 0.0923 0.7484 [8 per cell]
Mo 0.1098 0.4298 0.5777 [8 per cell]
Mo 0.2177 0.4095 0.9226 [8 per cell]
N 0.0801 0.2410 0.0002 [8 per cell]
N 0.2500 0.2500 0.5000 [4 per cell]

***

# 4
This entry pairs a crystal structure of TlAgPdSe2S with its simulated PXRD pattern. Radiation: Cu Kα X-rays. Structure: a structure optimized by DFT (PBE).
No peak broadening, texture or thermal motion is included.

Principal peaks in the range 10° ≤ 2θ ≤ 90°, sorted by position:
d/Å, I_rel, (hkl)
4.138, 45, 0 2 2
2.849, 100, 1 3 0
2.758, 29, 1 3 1
2.746, 62, 0 0 4
2.061, 16, 0 6 1
1.977, 66, 1 3 4
1.971, 22, 1 5 2
1.941, 23, 2 0 0
1.585, 23, 2 0 4
1.237, 20, 3 3 0

Atomic structure:
Lattice parameters (Å, degrees): 3.8818 12.5875 10.9823 90.00 90.00 90.00
Space group Cmcm (No. 63)
One atom of each set of equivalent atoms:
Tl 0.0000 0.1934 0.2500 [4 per cell]
Ag 0.0000 0.1225 0.7500 [4 per cell]
Pd 0.0000 0.5000 0.0000 [4 per cell]
Se 0.0000 0.1294 0.5160 [8 per cell]
S 0.0000 0.4759 0.7500 [4 per cell]

***

# 5
This entry pairs a crystal structure of Ba2LuPb with its simulated PXRD pattern. Radiation: Cu Kα X-rays. Structure: a structure optimized by DFT (PBE).
No peak broadening, texture or thermal motion is included.

Principal peaks in the range 10° ≤ 2θ ≤ 90°, sorted by position:
d/Å, I_rel, (hkl)
4.916, 3, 1 1 1
3.011, 100, 2 2 0
2.567, 2, 3 1 1
2.129, 19, 4 0 0
1.954, 1, 3 3 1
1.738, 41, 4 2 2
1.505, 13, 4 4 0
1.346, 18, 6 2 0
1.229, 4, 4 4 4
1.138, 21, 6 4 2

Atomic structure:
Lattice parameters (Å, degrees): 8.5154 8.5154 8.5154 90.00 90.00 90.00
Space group F-43m (No. 216)
One atom of each set of equivalent atoms:
Ba 0.0000 0.0000 0.0000 [4 per cell]
Ba 0.2500 0.2500 0.2500 [4 per cell]
Lu 0.2500 0.2500 0.7500 [4 per cell]
Pb 0.0000 0.0000 0.5000 [4 per cell]

***

# 6
This entry pairs a crystal structure of Lu3AlB2 with its simulated PXRD pattern. Radiation: Cu Kα X-rays. Structure: a structure optimized by DFT (PBE).
No peak broadening, texture or thermal motion is included.

Principal peaks in the range 10° ≤ 2θ ≤ 90°, sorted by position:
d/Å, I_rel, (hkl)
3.828, 34, 0 0 6
2.975, 52, 1 0 1
2.903, 30, 1 0 2
2.871, 28, 0 0 8
2.659, 100, 1 0 4
2.512, 58, 1 0 5
1.944, 29, 1 0 9
1.824, 22, 1 0 10
1.732, 34, 1 1 0
1.483, 24, 1 1 8

Atomic structure:
Lattice parameters (Å, degrees): 3.4643 3.4643 22.9650 90.00 90.00 120.00
Space group P6_3/mmc (No. 194)
One atom of each set of equivalent atoms:
Lu 0.0000 0.0000 0.0000 [2 per cell]
Lu 0.3333 0.6667 0.1410 [4 per cell]
Al 0.0000 0.0000 0.2500 [2 per cell]
B 0.3333 0.6667 0.5740 [4 per cell]

***

# 7
This entry pairs a crystal structure of Al3FeNi5 with its simulated PXRD pattern. Radiation: Cu Kα X-rays. Structure: a structure optimized by DFT (PBE).
No peak broadening, texture or thermal motion is included.

Principal peaks in the range 10° ≤ 2θ ≤ 90°, sorted by position:
d/Å, I_rel, (hkl)
3.757, 25, 1 0 -1
3.746, 17, 1 1 0
3.072, 73, 1 1 -1
3.047, 76, 1 1 1
2.171, 12, 1 1 -2
1.883, 25, 2 0 -2
1.875, 100, 2 2 0
1.860, 25, 2 0 2
1.603, 20, 1 3 -1
1.599, 18, 3 1 -1

Atomic structure:
Lattice parameters (Å, degrees): 5.2843 5.3126 5.3011 90.00 90.71 90.00
Space group P2 (No. 3)
One atom of each set of equivalent atoms:
Al 0.0000 0.0000 0.0000 [1 per cell]
Al 0.0000 0.4955 0.5000 [1 per cell]
Al 0.5000 0.4987 0.0000 [1 per cell]
Fe 0.5000 0.9935 0.5000 [1 per cell]
Ni 0.0000 0.4892 0.0000 [1 per cell]
Ni 0.2587 0.7557 0.2602 [2 per cell]
Ni 0.2643 0.2332 0.7374 [2 per cell]

***

# 8
This entry pairs a crystal structure of SmMgAu with its simulated PXRD pattern. Radiation: Cu Kα X-rays. Structure: a structure optimized by DFT (PBE).
No peak broadening, texture or thermal motion is included.

Principal peaks in the range 10° ≤ 2θ ≤ 90°, sorted by position:
d/Å, I_rel, (hkl)
3.873, 57, 1 1 0
3.500, 30, 1 0 1
2.816, 63, 1 1 1
2.597, 100, 2 0 1
2.236, 42, 3 0 0
2.157, 40, 2 1 1
2.051, 21, 0 0 2
1.937, 17, 2 2 0
1.512, 25, 3 0 2
1.441, 28, 3 2 1

Atomic structure:
Lattice parameters (Å, degrees): 7.7466 7.7466 4.1019 90.00 90.00 120.00
Space group P-62m (No. 189)
One atom of each set of equivalent atoms:
Sm 0.0000 0.4113 0.0000 [3 per cell]
Mg 0.0000 0.7547 0.5000 [3 per cell]
Au 0.0000 0.0000 0.0000 [1 per cell]
Au 0.3333 0.6667 0.5000 [2 per cell]